Diffraction record for Rb2HgSbI6. The powder X-ray diffraction pattern is theoretical, not measured: it uses the GGA-PBE geometry in the Materials Project and a wavelength of 1.5418 Å.

Lattice parameters (Å, degrees): 12.316 12.316 12.316 90.00 90.00 90.00
Space group Fm-3m (No. 225)
One atom of each set of equivalent atoms:
Rb1 0.250 0.250 0.250 x8
Hg1 0.000 0.000 0.000 x4
Sb1 0.000 0.000 0.500 x4
I1 0.000 0.000 0.254 x24

The 12 most intense peaks (15 to 90 degrees two-theta), sorted by position:
| (hkl) | two_theta | Rel. int. |
| --- | --- | --- |
| 2 2 0 | 20.40 | 18 |
| 2 2 2 | 25.05 | 46 |
| 4 0 0 | 29.00 | 100 |
| 4 2 0 | 32.51 | 30 |
| 4 4 0 | 41.48 | 75 |
| 6 0 0 | 44.12 | 16 |
| 6 2 2 | 49.07 | 21 |
| 4 4 4 | 51.40 | 27 |
| 8 0 0 | 60.10 | 12 |
| 6 4 4 | 62.15 | 9 |
| 8 4 0 | 68.09 | 34 |
| 8 4 4 | 75.66 | 25 |


Diffraction record for Tl4HgI6. The powder X-ray diffraction pattern is theoretical, not measured: it uses the GGA-PBE geometry in the Materials Project and a wavelength of 1.5418 Å.

Lattice parameters (Å, degrees): 9.616 9.616 9.513 90.00 90.00 90.00
Space group P4/mnc (No. 128)
One atom of each set of equivalent atoms:
Tl1 0.150 0.350 0.250 x8
Hg1 0.000 0.000 0.000 x2
I1 0.000 0.000 0.289 x4
I2 0.141 0.676 0.000 x8

The 12 most intense peaks (15 to 90 degrees two-theta), sorted by position:
| (hkl) | two_theta | Rel. int. |
| --- | --- | --- |
| 2 2 0 | 26.21 | 10 |
| 2 1 2 | 27.97 | 100 |
| 3 1 0 | 29.37 | 61 |
| 1 0 3 | 29.66 | 8 |
| 0 0 4 | 37.83 | 15 |
| 4 2 0 | 42.03 | 13 |
| 4 1 2 | 43.20 | 14 |
| 3 1 4 | 48.60 | 25 |
| 5 2 2 | 54.92 | 20 |
| 6 0 0 | 57.51 | 9 |
| 2 1 6 | 62.43 | 10 |
| 7 3 4 | 87.46 | 8 |


Diffraction record for InHg3. The powder X-ray diffraction pattern is theoretical, not measured: it uses the GGA-PBE geometry in the Materials Project and a wavelength of 1.5418 Å.

Lattice parameters (Å, degrees): 6.7894 6.7894 5.4705 90.00 90.00 120.00
Space group P6_3/mmc (No. 194)
One atom of each set of equivalent atoms:
In1 0.3333 0.6667 0.2500 x2
Hg1 0.1667 0.3334 0.7500 x6

The 12 most intense peaks (15 to 90 degrees two-theta), sorted by position:
| (hkl) | two_theta | Rel. int. |
| --- | --- | --- |
| 1 0 1 | 22.20 | 4 |
| 2 0 0 | 30.40 | 23 |
| 0 0 2 | 32.74 | 26 |
| 2 0 1 | 34.64 | 100 |
| 2 0 2 | 45.28 | 16 |
| 2 2 0 | 54.03 | 19 |
| 2 0 3 | 59.67 | 21 |
| 2 2 2 | 64.62 | 22 |
| 4 0 1 | 65.78 | 16 |
| 4 0 2 | 73.08 | 4 |
| 2 0 4 | 76.88 | 3 |
| 4 0 3 | 84.70 | 8 |


Diffraction record for InHg. The powder X-ray diffraction pattern is theoretical, not measured: it uses the GGA-PBE geometry in the Materials Project and a wavelength of 1.5418 Å.

Lattice parameters (Å, degrees): 3.7622 3.7622 13.5139 90.00 90.00 120.00
Space group R-3m (No. 166, hexagonal axes)
One atom of each set of equivalent atoms:
In1 0.0000 0.0000 0.0000 x3
Hg1 0.0000 0.0000 0.5000 x3

The 12 most intense peaks (15 to 90 degrees two-theta), sorted by position:
| (hkl) | two_theta | Rel. int. |
| --- | --- | --- |
| 1 0 1 | 28.17 | 8 |
| 0 1 2 | 30.46 | 100 |
| 1 0 4 | 38.38 | 54 |
| 0 0 6 | 40.03 | 16 |
| 1 1 0 | 48.39 | 28 |
| 2 0 2 | 58.26 | 16 |
| 0 1 8 | 61.87 | 14 |
| 0 2 4 | 63.39 | 12 |
| 1 1 6 | 64.55 | 23 |
| 1 0 10 | 76.28 | 7 |
| 1 2 2 | 79.04 | 13 |
| 2 1 4 | 83.56 | 12 |


Diffraction record for InHg3. The powder X-ray diffraction pattern is theoretical, not measured: it uses the GGA-PBE geometry in the Materials Project and a wavelength of 1.5418 Å.

Lattice parameters (Å, degrees): 3.771 5.333 11.379 90.00 90.00 90.00
Space group C222 (No. 21)
One atom of each set of equivalent atoms:
In1 0.000 0.000 0.000 x2
Hg1 0.000 0.500 0.500 x2
Hg2 0.250 0.250 0.751 x4

The 12 most intense peaks (15 to 90 degrees two-theta), sorted by position:
| (hkl) | two_theta | Rel. int. |
| --- | --- | --- |
| 1 1 1 | 30.07 | 100 |
| 0 0 4 | 31.45 | 44 |
| 0 2 2 | 37.24 | 56 |
| 1 1 3 | 37.63 | 56 |
| 1 1 5 | 49.82 | 25 |
| 2 0 2 | 51.02 | 23 |
| 1 3 1 | 57.92 | 16 |
| 0 2 6 | 59.84 | 15 |
| 2 2 0 | 60.10 | 14 |
| 1 3 3 | 62.77 | 13 |
| 1 1 7 | 64.86 | 11 |
| 2 2 4 | 69.41 | 19 |


Diffraction record for LaInHg2. The powder X-ray diffraction pattern is theoretical, not measured: it uses the GGA-PBE geometry in the Materials Project and a wavelength of 1.5418 Å.

Lattice parameters (Å, degrees): 7.534 7.534 7.534 90.00 90.00 90.00
Space group Fm-3m (No. 225)
One atom of each set of equivalent atoms:
La1 0.000 0.000 0.000 x4
In1 0.000 0.000 0.500 x4
Hg1 0.250 0.250 0.250 x8

The 10 most intense peaks (15 to 90 degrees two-theta), sorted by position:
| (hkl) | two_theta | Rel. int. |
| --- | --- | --- |
| 2 0 0 | 23.62 | 6 |
| 2 2 0 | 33.65 | 100 |
| 2 2 2 | 41.52 | 2 |
| 4 0 0 | 48.32 | 18 |
| 4 2 0 | 54.47 | 3 |
| 4 2 2 | 60.17 | 38 |
| 4 4 0 | 70.74 | 12 |
| 6 0 0 | 75.76 | 1 |
| 6 2 0 | 80.66 | 17 |
| 6 2 2 | 85.50 | 1 |


Diffraction record for LiInHg2. The powder X-ray diffraction pattern is theoretical, not measured: it uses the GGA-PBE geometry in the Materials Project and a wavelength of 1.5418 Å.

Lattice parameters (Å, degrees): 7.183 7.183 7.183 90.00 90.00 90.00
Space group Fm-3m (No. 225)
One atom of each set of equivalent atoms:
Li1 0.000 0.000 0.000 x4
In1 0.000 0.000 0.500 x4
Hg1 0.250 0.250 0.250 x8

The 12 most intense peaks (15 to 90 degrees two-theta), sorted by position:
| (hkl) | two_theta | Rel. int. |
| --- | --- | --- |
| 1 1 1 | 21.43 | 11 |
| 2 0 0 | 24.79 | 34 |
| 2 2 0 | 35.34 | 100 |
| 3 1 1 | 41.70 | 6 |
| 2 2 2 | 43.65 | 11 |
| 4 0 0 | 50.85 | 18 |
| 3 3 1 | 55.79 | 2 |
| 4 2 0 | 57.37 | 15 |
| 4 2 2 | 63.44 | 37 |
| 4 4 0 | 74.76 | 12 |
| 6 0 0 | 80.17 | 7 |
| 6 2 0 | 85.50 | 17 |


Diffraction record for Li2InHg. The powder X-ray diffraction pattern is theoretical, not measured: it uses the GGA-PBE geometry in the Materials Project and a wavelength of 1.5418 Å.

Lattice parameters (Å, degrees): 6.687 6.687 6.687 90.00 90.00 90.00
Space group Fm-3m (No. 225)
One atom of each set of equivalent atoms:
Li1 0.250 0.250 0.250 x8
In1 0.000 0.000 0.000 x4
Hg1 0.000 0.000 0.500 x4

The 12 most intense peaks (15 to 90 degrees two-theta), sorted by position:
| (hkl) | two_theta | Rel. int. |
| --- | --- | --- |
| 1 1 1 | 23.04 | 13 |
| 2 0 0 | 26.66 | 100 |
| 2 2 0 | 38.06 | 90 |
| 3 1 1 | 44.96 | 8 |
| 2 2 2 | 47.08 | 29 |
| 4 0 0 | 54.93 | 16 |
| 3 3 1 | 60.34 | 3 |
| 4 2 0 | 62.08 | 38 |
| 4 2 2 | 68.78 | 32 |
| 4 4 0 | 81.41 | 10 |
| 5 3 1 | 86.01 | 3 |
| 6 0 0 | 87.54 | 19 |


Diffraction record for LiIn4Hg2O8. The powder X-ray diffraction pattern is theoretical, not measured: it uses the GGA-PBE geometry in the Materials Project and a wavelength of 1.5418 Å.

Lattice parameters (Å, degrees): 11.405 6.587 6.880 90.00 123.54 90.00
Space group Cm (No. 8)
One atom of each set of equivalent atoms:
Li1 0.000 0.000 0.000 x2
In1 0.001 0.500 0.000 x2
In2 0.001 0.500 0.500 x2
In3 0.251 0.250 0.000 x4
Hg1 0.148 0.000 0.439 x2
Hg2 0.355 0.500 0.561 x2
O1 0.016 0.273 0.771 x4
O2 0.228 0.500 0.181 x2
O3 0.243 0.500 0.771 x2
O4 0.260 0.000 0.229 x2
O5 0.274 0.000 0.819 x2
O6 0.486 0.227 0.229 x4

The 12 most intense peaks (15 to 90 degrees two-theta), sorted by position:
| (hkl) | two_theta | Rel. int. |
| --- | --- | --- |
| 1 1 1 | 25.95 | 27 |
| 0 2 0 | 27.08 | 34 |
| 0 0 2 | 31.19 | 20 |
| 3 1 0 | 31.33 | 100 |
| 4 0 -1 | 31.81 | 31 |
| 3 1 -3 | 41.77 | 12 |
| 4 0 1 | 48.93 | 20 |
| 6 0 -1 | 50.58 | 27 |
| 2 2 2 | 53.36 | 18 |
| 0 4 0 | 55.84 | 30 |
| 0 4 2 | 65.36 | 16 |
| 9 1 -4 | 78.67 | 15 |


> Number 6 is which compound?

LaInHg2